The following is a simulated powder diffraction line list of Rb2MoWO6. It was derived from a structure optimized by DFT (GGA+U), using Cu Kα, 1.54184 Å.

Peak list (10 most intense, 2θ = 5–70°, sorted by position)
2θ (°)	I_rel
15.76	13
17.81	14
27.71	100
31.83	23
32.24	31
45.94	19
46.19	10
54.23	18
54.76	30
57.23	17

```
Rb2MoWO6
1.0
0.000 3.931 5.622
3.922 0.000 5.622
3.922 3.931 0.000
Rb Mo W O
2 1 1 6
Direct
0.250 0.250 0.250 Rb
0.750 0.750 0.750 Rb
0.000 0.000 0.000 Mo
0.500 0.500 0.500 W
0.243 0.757 0.757 O
0.247 0.753 0.247 O
0.334 0.334 0.666 O
0.666 0.666 0.334 O
0.753 0.247 0.753 O
0.757 0.243 0.243 O
```